No. 1
Structure and computed XRD peak list of Ho4Ga12Re (a cell relaxed with GGA-PBE; copper Kα).
Intensities are scaled so that the largest is 100.

Top 6 peaks for 2θ from 15° to 90°, most intense first:
index	2θ (°)	I_rel
2 2 2	36.1	100
4 0 0	41.9	80
2 2 0	29.3	52
4 4 0	60.8	48
6 2 2	72.8	30
3 2 1	39.1	21

Unit cell a=8.6175 b=8.6175 c=8.6175 alpha=90.00 beta=90.00 gamma=90.00
Space group Im-3m (No. 229)
Inequivalent atoms, fractional coordinates:
Ho  0.2500  0.2500  0.2500
Ga  0.0000  0.0000  0.2923
Ga  0.0000  0.2500  0.5000
Re  0.0000  0.0000  0.0000

No. 2
Structure and computed XRD peak list of Sr2Cd6Ga3 (a cell relaxed with GGA-PBE; copper Kα).
Intensities are scaled so that the largest is 100.

Top 6 peaks for 2θ from 15° to 90°, most intense first:
index	2θ (°)	I_rel
1 1 1	28.9	100
2 1 1	38.2	92
0 0 2	39.6	35
3 0 0	37.0	34
4 1 1	61.9	26
2 1 0	32.5	25

Unit cell a=8.4054 b=8.4054 c=4.5473 alpha=90.00 beta=90.00 gamma=120.00
Space group P-62m (No. 189)
Inequivalent atoms, fractional coordinates:
Sr  0.3333  0.6667  0.0000
Cd  0.0000  0.2951  0.5000
Cd  0.0000  0.7993  0.0000
Ga  0.0000  0.6219  0.5000

No. 3
Structure and computed XRD peak list of GeBr (a cell relaxed with GGA-PBE; copper Kα).
Intensities are scaled so that the largest is 100.

Top 6 peaks for 2θ from 15° to 90°, most intense first:
index	2θ (°)	I_rel
0 1 2	32.5	100
4 1 2	44.1	40
0 0 2	25.0	37
5 1 1	44.0	22
0 2 0	41.3	16
6 1 0	49.0	13

Unit cell a=12.3206 b=4.3690 c=7.1065 alpha=90.00 beta=90.00 gamma=90.00
Space group Pmn2_1 (No. 31)
Inequivalent atoms, fractional coordinates:
Ge  0.0000  0.0102  0.0000
Ge  0.1126  0.0090  0.3398
Br  0.0000  0.5077  0.5277
Br  0.1505  0.5074  0.0755

No. 4
Structure and computed XRD peak list of Li6Ca (a cell relaxed with GGA-PBE; copper Kα).
Intensities are scaled so that the largest is 100.

Top 6 peaks for 2θ from 15° to 90°, most intense first:
index	2θ (°)	I_rel
1 1 1	19.2	100
3 1 1	32.8	58
2 1 3	33.4	51
1 0 2	17.9	37
1 0 4	32.2	35
2 0 0	18.6	31

Unit cell a=9.5639 b=5.9285 c=11.6029 alpha=90.00 beta=90.00 gamma=90.00
Space group Pnma (No. 62)
Inequivalent atoms, fractional coordinates:
Li  0.0599  0.2500  0.0842
Li  0.0667  0.5066  0.3060
Li  0.0973  0.7500  0.5197
Li  0.1427  0.2500  0.8516
Li  0.1863  0.7500  0.7608
Ca  0.2469  0.7500  0.0636

No. 5
Structure and computed XRD peak list of Te3AsCl (a cell relaxed with GGA-PBE; copper Kα).
Intensities are scaled so that the largest is 100.

Top 6 peaks for 2θ from 15° to 90°, most intense first:
index	2θ (°)	I_rel
2 1 1	29.9	100
0 2 0	23.4	49
1 1 0	15.7	25
2 3 1	45.3	21
2 0 2	41.0	19
0 1 1	20.8	17

Unit cell a=8.3802 b=7.6185 c=5.1681 alpha=90.00 beta=90.00 gamma=90.00
Space group Pmn2_1 (No. 31)
Inequivalent atoms, fractional coordinates:
Te  0.0000  0.1945  0.0000
Te  0.2326  0.2769  0.6198
As  0.0000  0.4727  0.3646
Cl  0.0000  0.7329  0.7066

No. 6
Structure and computed XRD peak list of Ac3TmGe2 (a cell relaxed with GGA-PBE; copper Kα).
Intensities are scaled so that the largest is 100.

Top 6 peaks for 2θ from 15° to 90°, most intense first:
index	2θ (°)	I_rel
2 2 0	28.6	100
0 4 2	33.9	56
2 0 2	38.0	50
1 4 1	28.0	41
2 6 2	50.0	31
0 6 0	31.3	28

Unit cell a=6.7148 b=17.1732 c=6.6945 alpha=90.00 beta=90.00 gamma=90.00
Space group Ibam (No. 72)
Inequivalent atoms, fractional coordinates:
Ac  0.0000  0.0000  0.2500
Ac  0.2475  0.3207  0.0000
Tm  0.0000  0.5000  0.2500
Ge  0.2307  0.3720  0.5000

No. 7
Structure and computed XRD peak list of KTlAg2Cl6 (a cell relaxed with GGA-PBE; copper Kα).
Intensities are scaled so that the largest is 100.

Top 6 peaks for 2θ from 15° to 90°, most intense first:
index	2θ (°)	I_rel
1 1 1	37.8	100
1 -2 0	25.2	93
1 -1 1	23.5	88
1 -1 0	15.2	69
-1 1 1	17.2	62
2 0 0	34.7	40

Unit cell a=7.0595 b=7.0690 c=7.6137 alpha=90.05 beta=117.54 gamma=119.89
Space group P1 (No. 1)
Inequivalent atoms, fractional coordinates:
K  0.0000  0.0000  0.0000
Tl  0.9644  0.4824  0.4458
Ag  0.5729  0.2864  0.8591
Ag  0.6046  0.8032  0.4073
Cl  0.0995  0.4492  0.1795
Cl  0.1050  0.2292  0.6557
Cl  0.4274  0.8758  0.6552
Cl  0.5304  0.0822  0.1795
Cl  0.7314  0.6510  0.1802
Cl  0.7809  0.5518  0.6566